For Pm2Be6Pt9, the PBE geometry in Alexandria gives the simulated powder X-ray diffraction pattern in this record (CuKα).
Intensities are scaled so that the largest is 100.

Structural model:
```
data_Pm2Be6Pt9
_symmetry_space_group_name_H-M 'P 6/m m m'
_symmetry_Int_Tables_number 191
_symmetry_space_group_name_Hall '-P 6 2'
_cell_length_a 5.5544
_cell_length_b 5.5544
_cell_length_c 10.1558
_cell_angle_alpha 90.00
_cell_angle_beta 90.00
_cell_angle_gamma 120.00
loop_
_atom_site_label
_atom_site_type_symbol
_atom_site_fract_x
_atom_site_fract_y
_atom_site_fract_z
_atom_site_occupancy
Pm1 Pm 0.0000 0.0000 0.1915 1
Be1 Be 0.3333 0.6667 0.1663 1
Be2 Be 0.3333 0.6667 0.5000 1
Pt1 Pt 0.0000 0.5000 0.0000 1
Pt2 Pt 0.0000 0.5000 0.3352 1
```

The 12 most intense peaks (10 to 80 degrees two-theta), sorted by position:
(hkl)	2θ (°)	Rel. int.
1 0 0	18.44	13
0 0 3	26.33	42
1 0 3	32.34	49
2 0 0	37.39	100
1 1 3	42.08	27
2 0 3	46.31	60
0 0 6	54.19	11
2 1 3	57.54	20
2 2 0	67.45	19
2 0 6	67.69	32
2 2 3	73.75	15
4 0 0	79.74	11



For PmBePt, the PBE geometry in Alexandria gives the simulated powder X-ray diffraction pattern in this record (CuKα).
Intensities are scaled so that the largest is 100.

Structural model:
```
data_PmBePt
_symmetry_space_group_name_H-M 'P m m n'
_symmetry_Int_Tables_number 59
_cell_length_a 3.934
_cell_length_b 4.274
_cell_length_c 6.782
_cell_angle_alpha 90.00
_cell_angle_beta 90.00
_cell_angle_gamma 90.00
loop_
_symmetry_equiv_pos_as_xyz
'x,y,z'
'-x,-y,-z'
'-x+1/2,-y+1/2,z'
'x+1/2,y+1/2,-z'
'x+1/2,-y,-z'
'-x+1/2,y,z'
'-x,y+1/2,-z'
'x,-y+1/2,z'
loop_
_atom_site_label
_atom_site_type_symbol
_atom_site_fract_x
_atom_site_fract_y
_atom_site_fract_z
_atom_site_occupancy
Pm1 Pm 0.250 0.250 0.176 1
Be1 Be 0.250 0.750 0.500 1
Pt1 Pt 0.250 0.250 0.690 1
```

The 12 most intense peaks (10 to 80 degrees two-theta), sorted by position:
(hkl)	2θ (°)	Rel. int.
0 0 2	26.27	36
1 1 0	30.89	100
0 1 2	33.74	45
1 0 2	34.93	41
1 1 2	40.99	46
0 2 0	42.30	23
2 0 0	46.15	18
1 2 2	55.98	21
2 1 2	58.37	19
0 1 4	58.57	16
1 0 4	59.35	16
1 2 4	75.55	16



For Pm2BePt3, the PBE geometry in Alexandria gives the simulated powder X-ray diffraction pattern in this record (CuKα).
Intensities are scaled so that the largest is 100.

Structural model:
```
data_Pm2BePt3
_symmetry_space_group_name_H-M 'F m m m'
_symmetry_Int_Tables_number 69
_symmetry_space_group_name_Hall '-F 2 2'
_cell_length_a 7.832
_cell_length_b 8.516
_cell_length_c 14.914
_cell_angle_alpha 90.00
_cell_angle_beta 90.00
_cell_angle_gamma 90.00
loop_
_atom_site_label
_atom_site_type_symbol
_atom_site_fract_x
_atom_site_fract_y
_atom_site_fract_z
_atom_site_occupancy
Pm1 Pm 0.250 0.000 0.000 1
Pm2 Pm 0.250 0.250 0.250 1
Be1 Be 0.000 0.000 0.168 1
Pt1 Pt 0.000 0.000 0.318 1
Pt2 Pt 0.000 0.224 0.091 1
```

The 12 most intense peaks (10 to 80 degrees two-theta), sorted by position:
(hkl)	2θ (°)	Rel. int.
2 0 0	22.71	16
1 1 3	23.63	20
2 0 4	33.18	51
2 2 2	33.33	100
1 1 5	33.84	14
1 3 1	34.13	15
0 2 6	42.09	52
0 4 0	42.46	25
4 0 0	46.38	23
2 4 4	54.92	20
4 2 6	64.41	30
4 4 0	64.68	14